Entry 1:
For V3Co2P6WO24, a DFT-relaxed cell (PBE+U, the Materials Project) gives the calculated X-ray diffraction stick pattern in this record (Cu Kα (λ = 1.5418 Å)).
Neutral-atom scattering factors, no anomalous dispersion.

Atomic structure:
```
data_V3Co2P6WO24
_symmetry_space_group_name_H-M 'P 1'
_symmetry_Int_Tables_number 1
_cell_length_a 8.6674
_cell_length_b 8.6674
_cell_length_c 8.6674
_cell_angle_alpha 60.30
_cell_angle_beta 60.30
_cell_angle_gamma 60.30
loop_
_symmetry_equiv_pos_as_xyz
'x,y,z'
loop_
_atom_site_label
_atom_site_type_symbol
_atom_site_fract_x
_atom_site_fract_y
_atom_site_fract_z
V1 V 0.0000 0.0000 0.0000
V2 V 0.2147 0.2147 0.2147
V3 V 0.7158 0.7158 0.7158
Co1 Co 0.3530 0.3530 0.3530
Co2 Co 0.8577 0.8577 0.8577
P1 P 0.1028 0.8219 0.3998
P2 P 0.3141 0.6101 0.9038
P3 P 0.3998 0.1028 0.8219
P4 P 0.6101 0.9038 0.3141
P5 P 0.8219 0.3998 0.1028
P6 P 0.9038 0.3141 0.6101
W1 W 0.5002 0.5002 0.5002
O1 O 0.0521 0.8513 0.2400
O2 O 0.0925 0.2996 0.4437
O3 O 0.1224 0.7712 0.9130
O4 O 0.1656 0.9772 0.3626
O5 O 0.2400 0.0521 0.8513
O6 O 0.2711 0.6252 0.4195
O7 O 0.2996 0.4437 0.0925
O8 O 0.3540 0.5478 0.7413
O9 O 0.3626 0.1656 0.9772
O10 O 0.4195 0.2711 0.6252
O11 O 0.4437 0.0925 0.2996
O12 O 0.4754 0.6668 0.8608
O13 O 0.5478 0.7413 0.3540
O14 O 0.5945 0.9444 0.7988
O15 O 0.6252 0.4195 0.2711
O16 O 0.6668 0.8608 0.4754
O17 O 0.7413 0.3540 0.5478
O18 O 0.7712 0.9130 0.1224
O19 O 0.7988 0.5945 0.9444
O20 O 0.8513 0.2400 0.0521
O21 O 0.8608 0.4754 0.6668
O22 O 0.9130 0.1224 0.7712
O23 O 0.9444 0.7988 0.5945
O24 O 0.9772 0.3626 0.1656
```

Main lines, sorted by position (5 to 70 degrees two-theta):
- 12.48°, d 7.092, I 31
- 14.42°, d 6.142, I 16
- 20.42°, d 4.349, I 100
- 24.01°, d 3.706, I 67
- 31.70°, d 2.823, I 17
- 32.66°, d 2.742, I 54
- 35.74°, d 2.513, I 37
- 46.83°, d 1.940, I 24
- 49.17°, d 1.853, I 21
- 55.89°, d 1.645, I 23

Entry 2:
For ZnCoP2O7, a DFT-relaxed cell (PBE+U, the Materials Project) gives the calculated X-ray diffraction stick pattern in this record (Cu Kα (λ = 1.5418 Å)).
Neutral-atom scattering factors, no anomalous dispersion.

Atomic structure:
```
data_ZnCoP2O7
_symmetry_space_group_name_H-M 'P 1'
_symmetry_Int_Tables_number 1
_cell_length_a 6.4136
_cell_length_b 8.3784
_cell_length_c 10.3403
_cell_angle_alpha 90.81
_cell_angle_beta 106.52
_cell_angle_gamma 100.39
loop_
_symmetry_equiv_pos_as_xyz
'x,y,z'
loop_
_atom_site_label
_atom_site_type_symbol
_atom_site_fract_x
_atom_site_fract_y
_atom_site_fract_z
Zn1 Zn 0.0000 0.0000 0.0000
Zn2 Zn 0.1955 0.2312 0.6250
Zn3 Zn 0.5020 0.5000 0.5008
Zn4 Zn 0.6967 0.7311 0.1265
Co1 Co 0.0279 0.4323 0.8300
Co2 Co 0.1689 0.8022 0.7940
Co3 Co 0.5196 0.9297 0.3269
Co4 Co 0.6700 0.2999 0.2959
P1 P 0.0252 0.5628 0.5302
P2 P 0.0618 0.9008 0.4232
P3 P 0.1350 0.3317 0.2042
P4 P 0.1719 0.6685 0.0954
P5 P 0.5242 0.0621 0.0313
P6 P 0.5619 0.3990 0.9217
P7 P 0.6353 0.8330 0.7045
P8 P 0.6725 0.1695 0.5937
O1 O 0.0090 0.7820 0.0983
O2 O 0.0189 0.6011 0.6743
O3 O 0.0753 0.5086 0.1549
O4 O 0.0846 0.9966 0.5558
O5 O 0.1123 0.2321 0.0738
O6 O 0.1203 0.7222 0.4686
O7 O 0.1792 0.6328 0.9513
O8 O 0.1903 0.4506 0.5294
O9 O 0.2336 0.9647 0.3529
O10 O 0.2881 0.9906 0.9420
O11 O 0.3210 0.3582 0.8259
O12 O 0.3760 0.3739 0.2996
O13 O 0.4086 0.7375 0.1864
O14 O 0.4653 0.7755 0.7774
O15 O 0.5065 0.2810 0.5952
O16 O 0.5169 0.1004 0.1753
O17 O 0.5786 0.0102 0.6556
O18 O 0.5846 0.4990 0.0520
O19 O 0.6132 0.7322 0.5748
O20 O 0.6195 0.2215 0.9704
O21 O 0.6793 0.1307 0.4500
O22 O 0.6896 0.9499 0.0310
O23 O 0.7319 0.4570 0.8489
O24 O 0.7887 0.4913 0.4411
O25 O 0.8219 0.8605 0.3271
O26 O 0.8761 0.8737 0.8009
O27 O 0.9085 0.2422 0.6831
O28 O 0.9653 0.2734 0.2771
```

Main lines, sorted by position (5 to 70 degrees two-theta):
- 19.34°, d 4.590, I 18
- 26.98°, d 3.305, I 30
- 27.23°, d 3.275, I 100
- 28.44°, d 3.138, I 35
- 29.61°, d 3.017, I 36
- 29.89°, d 2.989, I 83
- 34.57°, d 2.595, I 26
- 42.84°, d 2.111, I 19
- 58.07°, d 1.588, I 24
- 60.23°, d 1.536, I 22

Entry 3:
For ZnCoP2O7, a DFT-relaxed cell (PBE+U, the Materials Project) gives the calculated X-ray diffraction stick pattern in this record (Cu Kα (λ = 1.5418 Å)).
Neutral-atom scattering factors, no anomalous dispersion.

Atomic structure:
```
data_ZnCoP2O7
_symmetry_space_group_name_H-M 'P 1'
_symmetry_Int_Tables_number 1
_cell_length_a 7.0657
_cell_length_b 8.4178
_cell_length_c 9.1461
_cell_angle_alpha 90.00
_cell_angle_beta 113.22
_cell_angle_gamma 90.00
loop_
_symmetry_equiv_pos_as_xyz
'x,y,z'
loop_
_atom_site_label
_atom_site_type_symbol
_atom_site_fract_x
_atom_site_fract_y
_atom_site_fract_z
Zn1 Zn 0.1975 0.0584 0.3188
Zn2 Zn 0.1975 0.4416 0.8188
Zn3 Zn 0.8025 0.5584 0.1812
Zn4 Zn 0.8025 0.9416 0.6812
Co1 Co 0.2672 0.0711 0.8925
Co2 Co 0.2672 0.4289 0.3925
Co3 Co 0.7328 0.5711 0.6075
Co4 Co 0.7328 0.9289 0.1075
P1 P 0.0325 0.7261 0.9688
P2 P 0.0325 0.7739 0.4688
P3 P 0.4405 0.7334 0.2595
P4 P 0.4405 0.7666 0.7595
P5 P 0.5595 0.2334 0.2405
P6 P 0.5595 0.2666 0.7405
P7 P 0.9675 0.2261 0.5312
P8 P 0.9675 0.2739 0.0312
O1 O 0.0154 0.0916 0.6542
O2 O 0.0154 0.4084 0.1542
O3 O 0.0539 0.6111 0.3990
O4 O 0.0539 0.8889 0.8990
O5 O 0.1239 0.2349 0.4521
O6 O 0.1239 0.2651 0.9521
O7 O 0.2488 0.6744 0.1019
O8 O 0.2488 0.8256 0.6019
O9 O 0.3805 0.2432 0.2969
O10 O 0.3805 0.2568 0.7969
O11 O 0.3914 0.6099 0.8162
O12 O 0.3914 0.8901 0.3162
O13 O 0.4762 0.5968 0.3794
O14 O 0.4762 0.9032 0.8794
O15 O 0.5238 0.0968 0.1206
O16 O 0.5238 0.4032 0.6206
O17 O 0.6086 0.1099 0.6838
O18 O 0.6086 0.3901 0.1838
O19 O 0.6195 0.7432 0.2031
O20 O 0.6195 0.7568 0.7031
O21 O 0.7512 0.1744 0.3981
O22 O 0.7512 0.3256 0.8981
O23 O 0.8761 0.7349 0.0479
O24 O 0.8761 0.7651 0.5479
O25 O 0.9461 0.1111 0.1010
O26 O 0.9461 0.3889 0.6010
O27 O 0.9846 0.5916 0.8458
O28 O 0.9846 0.9084 0.3458
```

Main lines, sorted by position (5 to 70 degrees two-theta):
- 20.14°, d 4.409, I 10
- 22.92°, d 3.880, I 9
- 29.33°, d 3.045, I 100
- 29.52°, d 3.026, I 51
- 34.87°, d 2.573, I 33
- 41.23°, d 2.190, I 12
- 42.47°, d 2.129, I 23
- 55.75°, d 1.649, I 9
- 57.85°, d 1.594, I 14
- 62.06°, d 1.495, I 10